For Y3Ni2P13, the PBE geometry in Alexandria gives the calculated X-ray diffraction stick pattern in this record (a wavelength of 1.5418 Å).
Peak positions follow from Bragg's law for the DFT cell and can differ from measured ones.

Most intense lines, 10 to 90 degrees two-theta, by angle:
d 3.744, rel. 44; d 2.659, rel. 47; d 2.647, rel. 56; d 2.615, rel. 62; d 2.283, rel. 39; d 2.263, rel. 52; d 2.243, rel. 100; d 2.043, rel. 27

Cell and atoms:
a = 5.231 Å, b = 5.231 Å, c = 13.081 Å
α = 90.00°, β = 90.00°, γ = 119.21°
Positions (direct):
Y: 0.000 0.000 0.000
Y: 0.000 0.000 0.273
Y: 0.000 0.000 0.727
Ni: 0.335 0.665 0.000
Ni: 0.665 0.335 0.000
P: 0.000 0.500 0.136
P: 0.000 0.500 0.500
P: 0.000 0.500 0.864
P: 0.333 0.667 0.358
P: 0.333 0.667 0.642
P: 0.500 0.000 0.136
P: 0.500 0.000 0.500
P: 0.500 0.000 0.864
P: 0.500 0.500 0.137
P: 0.500 0.500 0.500
P: 0.500 0.500 0.863
P: 0.667 0.333 0.358
P: 0.667 0.333 0.642